[1]
Diffraction record for Sr2SiAs. The powder diffractogram is simulated, not measured: it uses DFT lattice parameters and positions (PBE) and Cu Kα.

Principal peaks in the range 2θ from 10° to 90°, most intense first:
Position (°2θ), d (Å), intensity
31.8, 2.811, 100
33.6, 2.667, 86
35.5, 2.526, 74
56.5, 1.628, 38
60.4, 1.532, 31
63.7, 1.462, 26
42.5, 2.129, 22
48.7, 1.872, 15

Atomic structure:
a = 6.8441 Å, b = 8.5152 Å, c = 3.7430 Å
α = 90.00°, β = 90.00°, γ = 90.00°
Space group Cmmm (No. 65)
Asymmetric unit:
Sr  0.2500  0.2500  0.0000
Si  0.0000  0.0000  0.5000
As  0.0000  0.5000  0.5000

[2]
Diffraction record for Sr3SiAs3. The powder diffractogram is simulated, not measured: it uses DFT lattice parameters and positions (PBE) and Cu Kα.

Principal peaks in the range 2θ from 10° to 90°, most intense first:
Position (°2θ), d (Å), intensity
27.7, 3.221, 100
27.9, 3.195, 88
39.7, 2.268, 82
39.4, 2.285, 62
27.3, 3.269, 53
39.3, 2.294, 52
29.7, 3.009, 41
48.9, 1.864, 35

Atomic structure:
a = 19.3247 Å, b = 6.5378 Å, c = 12.7798 Å
α = 90.00°, β = 90.00°, γ = 90.00°
Space group Cmce (No. 64)
Asymmetric unit:
Sr  0.0000  0.1840  0.1458
Sr  0.1755  0.1825  0.8680
Si  0.0866  0.0000  0.5000
As  0.0000  0.2046  0.3931
As  0.1597  0.1963  0.6181